Simulated powder diffraction line list of NdPaFeO6 for copper Kα, from a DFT-relaxed cell (GGA+U, Alexandria).

Peak list (6 most intense, 10° ≤ 2θ ≤ 90°, by angle)
- 2θ = 19.0°, I = 17, hkl 1 0 0
- 2θ = 26.5°, I = 100, hkl 1 0 1
- 2θ = 33.2°, I = 37, hkl 1 1 0
- 2θ = 43.0°, I = 28, hkl 2 0 1
- 2θ = 50.7°, I = 34, hkl 2 -1 2
- 2θ = 55.3°, I = 27, hkl 2 1 1

Cell and atoms:
Lattice parameters (Å, degrees): 5.4016 5.4016 4.8351 90.00 90.00 120.00
Sites, in units of the cell vectors:
Nd: 0.0000 0.0000 0.0000
Pa: 0.6667 0.3333 0.5000
Fe: 0.3333 0.6667 0.0000
O: 0.0222 0.3890 0.2351
O: 0.0222 0.6333 0.7649
O: 0.3667 0.3890 0.7649
O: 0.3667 0.9778 0.2351
O: 0.6110 0.6333 0.2351
O: 0.6110 0.9778 0.7649

---

Simulated powder diffraction line list of Nd2PuFeO8 for copper Kα, from a DFT-relaxed cell (GGA+U, Alexandria).

Peak list (6 most intense, 10° ≤ 2θ ≤ 90°, by angle)
- 2θ = 23.2°, I = 53, hkl 1 0 -1
- 2θ = 24.5°, I = 100, hkl 1 1 0
- 2θ = 27.4°, I = 76, hkl 1 -1 0
- 2θ = 28.3°, I = 83, hkl 0 1 2
- 2θ = 30.7°, I = 55, hkl 1 0 2
- 2θ = 31.8°, I = 77, hkl 0 1 -2

Cell and atoms:
Lattice parameters (Å, degrees): 4.6462 5.1997 7.3377 82.89 87.16 83.49
Sites, in units of the cell vectors:
Nd: 0.1039 0.0161 0.2344
Nd: 0.8961 0.9839 0.7656
Pu: 0.5000 0.5000 0.5000
Fe: 0.5000 0.5000 0.0000
O: 0.1469 0.7341 0.5278
O: 0.2290 0.7951 0.9813
O: 0.3464 0.3900 0.2400
O: 0.3662 0.2138 0.6616
O: 0.6338 0.7862 0.3384
O: 0.6536 0.6100 0.7600
O: 0.7710 0.2049 0.0187
O: 0.8531 0.2659 0.4722

---

Simulated powder diffraction line list of Nd2FeSiO6 for copper Kα, from a DFT-relaxed cell (GGA+U, Alexandria).

Peak list (6 most intense, 10° ≤ 2θ ≤ 90°, by angle)
- 2θ = 31.6°, I = 100, hkl 1 1 1
- 2θ = 33.8°, I = 41, hkl 2 0 0
- 2θ = 39.9°, I = 32, hkl 2 0 1
- 2θ = 48.6°, I = 26, hkl 2 2 0
- 2θ = 54.9°, I = 23, hkl 2 0 2
- 2θ = 59.1°, I = 33, hkl 3 1 1

Cell and atoms:
Lattice parameters (Å, degrees): 5.2996 5.2996 4.3124 90.00 90.00 90.00
Sites, in units of the cell vectors:
Nd: 0.0000 0.5000 0.0000
Nd: 0.5000 0.0000 0.0000
Fe: 0.0000 0.0000 0.5627
Si: 0.5000 0.5000 0.5482
O: 0.0000 0.0000 0.0846
O: 0.2730 0.2730 0.6419
O: 0.2730 0.7270 0.6419
O: 0.5000 0.5000 0.1597
O: 0.7270 0.2730 0.6419
O: 0.7270 0.7270 0.6419